No. 1
This entry pairs a crystal structure of Li7I3O2 with its simulated XRD peak list. Radiation: CuKα. Structure: the PBE geometry in Alexandria.

Peak list (12 most intense, 10 to 90 degrees two-theta, sorted by position)
21.4 deg, rel. 365; 21.9 deg, rel. 546; 24.1 deg, rel. 151; 28.1 deg, rel. 1000; 30.7 deg, rel. 530; 37.7 deg, rel. 440; 43.9 deg, rel. 232; 45.8 deg, rel. 247; 49.4 deg, rel. 160; 49.6 deg, rel. 126; 53.0 deg, rel. 323; 68.0 deg, rel. 90

Atomic structure:
```
12
Lattice="2.914 -2.914 0.000 2.914 2.914 0.000 -2.884 0.000 12.437" Properties=species:S:1:pos:R:3 pbc="T T T"
Li 0.000 0.000 0.000
Li 1.456 1.456 2.126
Li -0.002 0.000 3.956
Li 1.489 1.456 10.311
Li 1.456 -1.456 2.126
Li 2.947 0.000 8.481
Li 1.489 -1.456 10.311
I 0.031 0.000 7.955
I 2.914 0.000 0.000
I 2.914 0.000 4.482
O -0.001 0.000 2.063
O 2.945 0.000 10.373
```

No. 2
This entry pairs a crystal structure of LiIO3 with its simulated XRD peak list. Radiation: CuKα. Structure: the PBE geometry in Alexandria.

Peak list (12 most intense, 10 to 90 degrees two-theta, sorted by position)
16.8 deg, rel. 289; 22.8 deg, rel. 1000; 24.5 deg, rel. 607; 25.2 deg, rel. 924; 30.1 deg, rel. 408; 30.4 deg, rel. 206; 35.9 deg, rel. 159; 43.0 deg, rel. 301; 43.7 deg, rel. 489; 47.5 deg, rel. 192; 54.6 deg, rel. 183; 67.1 deg, rel. 148

Atomic structure:
```
40
Lattice="9.997 0.000 0.000 0.000 9.997 0.000 0.000 0.000 6.219" Properties=species:S:1:pos:R:3 pbc="T T T"
Li 0.682 2.691 0.624
Li 2.308 0.682 2.486
Li 2.691 4.316 2.486
Li 4.316 2.308 0.624
Li 5.680 7.689 5.595
Li 7.306 5.680 3.733
Li 7.689 9.315 3.733
Li 9.315 7.306 5.595
I 0.311 7.632 2.382
I 2.365 5.309 5.491
I 2.633 9.686 5.491
I 4.688 7.364 2.382
I 5.309 2.633 3.837
I 7.364 0.311 0.727
I 7.632 4.688 0.727
I 9.686 2.365 3.837
O 0.548 1.516 5.211
O 0.841 2.006 2.459
O 1.177 6.644 5.864
O 1.516 4.451 4.117
O 1.645 8.820 2.755
O 2.006 4.158 0.651
O 2.993 0.841 0.651
O 3.353 6.175 2.755
O 3.482 0.548 4.117
O 3.821 8.352 5.864
O 4.158 2.993 2.459
O 4.451 3.482 5.211
O 5.546 6.515 1.007
O 5.839 7.004 3.760
O 6.175 1.645 0.355
O 6.515 9.449 2.102
O 6.644 3.821 3.464
O 7.004 9.156 5.568
O 7.991 5.839 5.568
O 8.352 1.177 3.464
O 8.481 5.546 2.102
O 8.820 3.353 0.355
O 9.156 7.991 3.760
O 9.449 8.481 1.007
```

No. 3
This entry pairs a crystal structure of Li5I4O with its simulated XRD peak list. Radiation: CuKα. Structure: the PBE geometry in Alexandria.

Peak list (12 most intense, 10 to 90 degrees two-theta, sorted by position)
14.0 deg, rel. 68; 18.0 deg, rel. 80; 26.9 deg, rel. 1000; 30.2 deg, rel. 194; 31.6 deg, rel. 348; 44.3 deg, rel. 262; 45.2 deg, rel. 113; 51.7 deg, rel. 161; 53.4 deg, rel. 279; 55.4 deg, rel. 120; 71.1 deg, rel. 120; 82.9 deg, rel. 77

Atomic structure:
```
10
Lattice="-4.483 4.483 2.955 4.483 -4.483 2.955 4.483 4.483 -2.955" Properties=species:S:1:pos:R:3 pbc="T T T"
Li 0.000 0.000 0.000
Li 3.895 2.688 -0.772
Li 1.795 -0.588 2.182
Li 2.688 5.070 -0.772
Li 0.588 1.795 2.182
I 5.447 -1.796 2.090
I 3.518 1.796 2.090
I -1.796 3.518 2.090
I 1.796 5.447 2.090
O 0.000 0.000 1.886
```

No. 4
This entry pairs a crystal structure of LiPbIO5 with its simulated XRD peak list. Radiation: CuKα. Structure: the PBE geometry in Alexandria.

Peak list (12 most intense, 10 to 90 degrees two-theta, sorted by position)
15.8 deg, rel. 454; 17.2 deg, rel. 1000; 23.3 deg, rel. 490; 26.2 deg, rel. 141; 30.0 deg, rel. 283; 30.2 deg, rel. 254; 31.5 deg, rel. 527; 31.9 deg, rel. 441; 35.2 deg, rel. 185; 46.9 deg, rel. 214; 54.0 deg, rel. 136; 54.6 deg, rel. 260

Atomic structure:
```
16
Lattice="3.600 -5.104 0.000 3.600 5.104 0.000 -2.592 0.000 6.822" Properties=species:S:1:pos:R:3 pbc="T T T"
Li 1.656 5.055 5.116
Li 2.952 -5.055 1.705
Pb 1.800 2.552 0.000
Pb 0.504 -2.552 3.411
I 1.656 0.027 5.116
I 2.952 -0.027 1.705
O 1.152 0.535 0.786
O 2.952 3.178 1.705
O -0.144 -0.535 4.197
O 1.127 1.343 6.339
O 2.185 1.343 3.893
O 2.423 -1.343 2.928
O 3.481 -1.343 0.482
O 4.752 0.535 2.624
O 1.656 -3.178 5.116
O 3.456 -0.535 6.035
```

No. 5
This entry pairs a crystal structure of Li2PuI2O2 with its simulated XRD peak list. Radiation: CuKα. Structure: the PBE geometry in Alexandria.

Peak list (12 most intense, 10 to 90 degrees two-theta, sorted by position)
11.5 deg, rel. 620; 15.5 deg, rel. 1000; 16.7 deg, rel. 886; 23.9 deg, rel. 273; 27.3 deg, rel. 757; 29.9 deg, rel. 853; 30.3 deg, rel. 365; 33.5 deg, rel. 406; 35.0 deg, rel. 232; 35.3 deg, rel. 291; 38.8 deg, rel. 377; 47.1 deg, rel. 228

Atomic structure:
```
7
Lattice="5.932 -2.091 0.000 5.932 2.091 0.000 -3.782 0.000 7.700" Properties=species:S:1:pos:R:3 pbc="T T T"
Li 2.440 0.000 0.832
Li 5.641 0.000 6.868
Pu 5.932 0.000 0.000
I -0.287 0.000 2.303
I 8.368 0.000 5.397
O 0.237 0.000 7.383
O 7.844 0.000 0.317
```

No. 6
This entry pairs a crystal structure of RbLi2I3O9 with its simulated XRD peak list. Radiation: CuKα. Structure: the PBE geometry in Alexandria.

Peak list (12 most intense, 10 to 90 degrees two-theta, sorted by position)
18.3 deg, rel. 604; 22.8 deg, rel. 600; 24.0 deg, rel. 302; 24.1 deg, rel. 357; 24.8 deg, rel. 731; 26.2 deg, rel. 687; 26.4 deg, rel. 1000; 27.6 deg, rel. 415; 27.7 deg, rel. 279; 28.0 deg, rel. 376; 29.5 deg, rel. 342; 43.1 deg, rel. 274

Atomic structure:
```
60
Lattice="8.398 0.000 0.000 0.000 11.407 0.000 -4.081 0.000 10.708" Properties=species:S:1:pos:R:3 pbc="T T T"
Rb 1.142 0.497 1.712
Rb -0.899 5.207 7.066
Rb 5.216 6.200 3.643
Rb 3.176 10.911 8.997
Li -2.423 2.470 9.205
Li -0.383 3.234 3.850
Li 1.376 8.078 6.993
Li 3.416 9.033 1.639
Li 0.901 2.374 9.069
Li 2.942 3.329 3.715
Li 4.700 8.174 6.858
Li 6.741 8.937 1.504
I -3.153 7.824 10.203
I -1.112 9.287 4.849
I 0.975 6.317 3.350
I -1.066 10.794 8.704
I 1.228 1.511 6.011
I 3.268 4.193 0.657
I 1.049 7.215 10.051
I 3.090 9.897 4.697
I 5.383 0.614 2.004
I 3.343 5.090 7.358
I 5.430 2.121 5.859
I 7.470 3.583 0.505
O -0.971 8.372 3.250
O -3.011 8.739 8.604
O -1.236 2.605 5.491
O 0.804 3.099 0.137
O 0.615 6.162 1.562
O -1.425 10.949 6.916
O -2.345 0.504 9.383
O -0.305 5.200 4.028
O -0.241 8.077 5.900
O 1.799 9.034 0.546
O 1.387 2.359 4.386
O -0.653 3.345 9.740
O -0.675 6.593 9.826
O 1.365 10.518 4.472
O 0.425 0.465 8.772
O 2.466 5.239 3.418
O 3.338 2.775 1.820
O 1.297 2.929 7.174
O 3.020 8.479 3.534
O 0.980 8.632 8.888
O 1.852 6.168 7.291
O 3.892 10.943 1.937
O 2.952 0.889 6.237
O 4.992 4.814 0.882
O 4.971 8.062 0.968
O 2.930 9.049 6.322
O 2.518 2.373 10.163
O 4.559 3.330 4.809
O 4.622 6.208 6.680
O 6.663 10.903 1.326
O 5.742 0.458 3.792
O 3.702 5.246 9.147
O 3.513 8.309 10.571
O 5.553 8.802 5.217
O 7.329 2.668 2.104
O 5.288 3.035 7.458
```

No. 7
This entry pairs a crystal structure of LiReIO2 with its simulated XRD peak list. Radiation: CuKα. Structure: the PBE geometry in Alexandria.

Peak list (12 most intense, 10 to 90 degrees two-theta, sorted by position)
14.3 deg, rel. 124; 23.2 deg, rel. 1000; 28.7 deg, rel. 387; 33.0 deg, rel. 346; 37.3 deg, rel. 588; 44.3 deg, rel. 313; 47.4 deg, rel. 190; 53.4 deg, rel. 209; 56.4 deg, rel. 224; 61.8 deg, rel. 269; 64.8 deg, rel. 117; 84.1 deg, rel. 116

Atomic structure:
```
5
Lattice="3.836 0.000 0.000 0.000 3.836 0.000 0.000 0.000 6.211" Properties=species:S:1:pos:R:3 pbc="T T T"
Li 0.000 0.000 0.000
Re 1.918 1.918 3.106
I 1.918 1.918 0.000
O 0.000 1.918 3.106
O 1.918 0.000 3.106
```

No. 8
This entry pairs a crystal structure of LiSI2O with its simulated XRD peak list. Radiation: CuKα. Structure: the PBE geometry in Alexandria.

Peak list (12 most intense, 10 to 90 degrees two-theta, sorted by position)
21.9 deg, rel. 919; 24.4 deg, rel. 660; 31.1 deg, rel. 958; 33.0 deg, rel. 1000; 39.9 deg, rel. 702; 44.6 deg, rel. 341; 50.2 deg, rel. 208; 51.5 deg, rel. 333; 56.6 deg, rel. 416; 60.0 deg, rel. 274; 69.1 deg, rel. 178; 79.0 deg, rel. 195

Atomic structure:
```
5
Lattice="5.748 0.000 0.000 0.000 5.748 0.000 0.000 0.000 3.654" Properties=species:S:1:pos:R:3 pbc="T T T"
Li 0.000 0.000 0.000
S 2.874 2.874 1.827
I 0.000 2.874 1.827
I 2.874 0.000 1.827
O 2.874 2.874 0.000
```

What did the third record say?
This entry pairs a crystal structure of Li5I4O with its simulated XRD peak list. Radiation: CuKα. Structure: the PBE geometry in Alexandria.

Peak list (12 most intense, 10 to 90 degrees two-theta, sorted by position)
14.0 deg, rel. 68; 18.0 deg, rel. 80; 26.9 deg, rel. 1000; 30.2 deg, rel. 194; 31.6 deg, rel. 348; 44.3 deg, rel. 262; 45.2 deg, rel. 113; 51.7 deg, rel. 161; 53.4 deg, rel. 279; 55.4 deg, rel. 120; 71.1 deg, rel. 120; 82.9 deg, rel. 77

Atomic structure:
```
10
Lattice="-4.483 4.483 2.955 4.483 -4.483 2.955 4.483 4.483 -2.955" Properties=species:S:1:pos:R:3 pbc="T T T"
Li 0.000 0.000 0.000
Li 3.895 2.688 -0.772
Li 1.795 -0.588 2.182
Li 2.688 5.070 -0.772
Li 0.588 1.795 2.182
I 5.447 -1.796 2.090
I 3.518 1.796 2.090
I -1.796 3.518 2.090
I 1.796 5.447 2.090
O 0.000 0.000 1.886
```